Diffraction record for Ce2ScTl3. The X-ray diffraction stick pattern is simulated, not measured: it uses the GGA-PBE geometry in Alexandria and a wavelength of 1.5418 Å.

Cell and atoms:
Unit cell a=3.463 b=3.463 c=13.373 alpha=90.00 beta=90.00 gamma=90.00
Fractional positions:
1 Ce 0.000 0.000 0.176
2 Ce 0.000 0.000 0.824
3 Sc 0.000 0.000 0.500
4 Tl 0.500 0.500 0.000
5 Tl 0.500 0.500 0.350
6 Tl 0.500 0.500 0.650

Principal peaks in the range 5 to 70 degrees two-theta, sorted by position:
h k l  d (Å)  2theta  I/Imax
0 0 3  4.458  19.92  7
1 0 0  3.463  25.72  8
1 0 2  3.075  29.04  7
1 0 3  2.735  32.75  100
1 1 0  2.449  36.70  39
0 0 6  2.229  40.47  12
2 0 0  1.732  52.87  14
1 1 6  1.648  55.77  19
1 0 8  1.506  61.60  6
2 1 3  1.463  63.60  30
2 0 6  1.367  68.63  10
1 0 9  1.365  68.75  8